No. 1
The following is a computed powder diffraction line list of CeInAu5. It was derived from a DFT-relaxed cell (GGA-PBE, Alexandria), using Cu Ka.
Neutral-atom scattering factors, no anomalous dispersion.

Structural model:
a b c (Å): 9.078 5.760 11.363
angles (deg): 90.00 90.00 90.00
Sites, in units of the cell vectors:
Ce (0.246, 0.250, 0.054)
Ce (0.254, 0.750, 0.554)
Ce (0.746, 0.250, 0.446)
Ce (0.754, 0.750, 0.946)
In (0.151, 0.750, 0.848)
In (0.349, 0.250, 0.348)
In (0.651, 0.750, 0.652)
In (0.849, 0.250, 0.152)
Au (0.064, 0.010, 0.302)
Au (0.064, 0.490, 0.302)
Au (0.077, 0.750, 0.078)
Au (0.095, 0.250, 0.520)
Au (0.179, 0.250, 0.776)
Au (0.321, 0.750, 0.276)
Au (0.405, 0.750, 0.020)
Au (0.423, 0.250, 0.578)
Au (0.436, 0.510, 0.802)
Au (0.436, 0.990, 0.802)
Au (0.564, 0.010, 0.198)
Au (0.564, 0.490, 0.198)
Au (0.577, 0.750, 0.422)
Au (0.595, 0.250, 0.980)
Au (0.679, 0.250, 0.724)
Au (0.821, 0.750, 0.224)
Au (0.905, 0.750, 0.480)
Au (0.923, 0.250, 0.922)
Au (0.936, 0.510, 0.698)
Au (0.936, 0.990, 0.698)

Principal peaks in the range 10 to 80 degrees two-theta, most intense first:
| 2θ (°) | I_rel |
| --- | --- |
| 40.58 | 100 |
| 34.40 | 61 |
| 33.04 | 42 |
| 37.83 | 35 |
| 34.55 | 32 |
| 34.93 | 26 |

No. 2
The following is a computed powder diffraction line list of Ce4InAu7. It was derived from a DFT-relaxed cell (GGA-PBE, Alexandria), using Cu Ka.
Neutral-atom scattering factors, no anomalous dispersion.

Structural model:
a b c (Å): 7.824 7.824 9.249
angles (deg): 119.16 119.16 38.55
Sites, in units of the cell vectors:
Ce (0.061, 0.061, 0.246)
Ce (0.228, 0.228, 0.761)
Ce (0.772, 0.772, 0.239)
Ce (0.939, 0.939, 0.754)
In (0.500, 0.500, 0.500)
Au (0.000, 0.000, 0.500)
Au (0.171, 0.171, 0.050)
Au (0.303, 0.303, 0.506)
Au (0.405, 0.405, 0.136)
Au (0.595, 0.595, 0.864)
Au (0.697, 0.697, 0.494)
Au (0.829, 0.829, 0.950)

Principal peaks in the range 10 to 80 degrees two-theta, most intense first:
| 2θ (°) | I_rel |
| --- | --- |
| 33.60 | 100 |
| 34.74 | 82 |
| 34.07 | 40 |
| 30.95 | 39 |
| 36.51 | 32 |
| 35.49 | 32 |

No. 3
The following is a computed powder diffraction line list of CeSc2InAu4. It was derived from a DFT-relaxed cell (GGA-PBE, Alexandria), using Cu Ka.
Neutral-atom scattering factors, no anomalous dispersion.

Structural model:
a b c (Å): 9.451 9.451 9.451
angles (deg): 29.01 29.01 29.01
Sites, in units of the cell vectors:
Ce (0.000, 0.000, 0.000)
Sc (0.238, 0.238, 0.238)
Sc (0.762, 0.762, 0.762)
In (0.500, 0.500, 0.500)
Au (0.119, 0.119, 0.119)
Au (0.392, 0.392, 0.392)
Au (0.608, 0.608, 0.608)
Au (0.881, 0.881, 0.881)

Principal peaks in the range 10 to 80 degrees two-theta, most intense first:
| 2θ (°) | I_rel |
| --- | --- |
| 38.01 | 100 |
| 34.31 | 95 |
| 25.38 | 35 |
| 52.14 | 34 |
| 39.83 | 33 |
| 66.31 | 30 |

No. 4
The following is a computed powder diffraction line list of Ce3YIn4Au8. It was derived from a DFT-relaxed cell (GGA-PBE, Alexandria), using Cu Ka.
Neutral-atom scattering factors, no anomalous dispersion.

Structural model:
a b c (Å): 16.483 16.483 16.483
angles (deg): 17.59 17.59 17.59
Sites, in units of the cell vectors:
Ce (0.000, 0.000, 0.000)
Ce (0.249, 0.249, 0.249)
Ce (0.751, 0.751, 0.751)
Y (0.500, 0.500, 0.500)
In (0.125, 0.125, 0.125)
In (0.376, 0.376, 0.376)
In (0.624, 0.624, 0.624)
In (0.875, 0.875, 0.875)
Au (0.063, 0.063, 0.063)
Au (0.185, 0.185, 0.185)
Au (0.313, 0.313, 0.313)
Au (0.438, 0.438, 0.438)
Au (0.562, 0.562, 0.562)
Au (0.687, 0.687, 0.687)
Au (0.815, 0.815, 0.815)
Au (0.937, 0.937, 0.937)

Principal peaks in the range 10 to 80 degrees two-theta, most intense first:
| 2θ (°) | I_rel |
| --- | --- |
| 35.62 | 100 |
| 35.98 | 96 |
| 64.21 | 36 |
| 51.53 | 35 |
| 63.98 | 18 |
| 64.92 | 17 |